Structure and theoretical XRD peak list of Er3TlSe (the PBE geometry in Alexandria; copper Kα).
Lines closer than 0.1° are merged.

Crystal structure
```
data_Er3TlSe
_symmetry_space_group_name_H-M 'P 1'
_symmetry_Int_Tables_number 1
_cell_length_a 9.1876
_cell_length_b 3.9367
_cell_length_c 14.9274
_cell_angle_alpha 90.00
_cell_angle_beta 90.00
_cell_angle_gamma 90.00
loop_
_symmetry_equiv_pos_as_xyz
'x,y,z'
loop_
_atom_site_label
_atom_site_type_symbol
_atom_site_fract_x
_atom_site_fract_y
_atom_site_fract_z
Er1 Er 0.0382 0.2500 0.1155
Er2 Er 0.1617 0.2500 0.5212
Er3 Er 0.2179 0.7500 0.2733
Er4 Er 0.2821 0.2500 0.7733
Er5 Er 0.3383 0.7500 0.0212
Er6 Er 0.4618 0.7500 0.6155
Er7 Er 0.5382 0.2500 0.3845
Er8 Er 0.6617 0.2500 0.9788
Er9 Er 0.7179 0.7500 0.2267
Er10 Er 0.7821 0.2500 0.7267
Er11 Er 0.8383 0.7500 0.4788
Er12 Er 0.9618 0.7500 0.8845
Tl1 Tl 0.0458 0.7500 0.6730
Tl2 Tl 0.4542 0.2500 0.1730
Tl3 Tl 0.5458 0.7500 0.8270
Tl4 Tl 0.9542 0.2500 0.3270
Se1 Se 0.1619 0.2500 0.9435
Se2 Se 0.3381 0.7500 0.4435
Se3 Se 0.6619 0.2500 0.5565
Se4 Se 0.8381 0.7500 0.0565
```

Peak list (10 most intense, 2θ = 10–90°, by angle)
30.5°, rel. 100; 30.9°, rel. 33; 31.5°, rel. 41; 32.3°, rel. 40; 34.5°, rel. 12; 37.8°, rel. 34; 46.1°, rel. 21; 56.5°, rel. 12; 56.9°, rel. 16; 67.9°, rel. 15

---

Structure and theoretical XRD peak list of Er3TmTl3Se8 (the PBE geometry in Alexandria; copper Kα).
Lines closer than 0.1° are merged.

Crystal structure
```
data_Er3TmTl3Se8
_symmetry_space_group_name_H-M 'P 1'
_symmetry_Int_Tables_number 1
_cell_length_a 9.0227
_cell_length_b 9.0227
_cell_length_c 9.0227
_cell_angle_alpha 54.39
_cell_angle_beta 54.39
_cell_angle_gamma 54.39
loop_
_symmetry_equiv_pos_as_xyz
'x,y,z'
loop_
_atom_site_label
_atom_site_type_symbol
_atom_site_fract_x
_atom_site_fract_y
_atom_site_fract_z
Er1 Er 0.0000 0.5000 0.5000
Er2 Er 0.5000 0.0000 0.5000
Er3 Er 0.5000 0.5000 0.0000
Tm1 Tm 0.0000 0.0000 0.0000
Tl1 Tl 0.0000 0.0000 0.5000
Tl2 Tl 0.0000 0.5000 0.0000
Tl3 Tl 0.5000 0.0000 0.0000
Se1 Se 0.2344 0.2344 0.7351
Se2 Se 0.2344 0.7351 0.2344
Se3 Se 0.2647 0.2647 0.2647
Se4 Se 0.2649 0.7656 0.7656
Se5 Se 0.7351 0.2344 0.2344
Se6 Se 0.7353 0.7353 0.7353
Se7 Se 0.7656 0.2649 0.7656
Se8 Se 0.7656 0.7656 0.2649
```

Peak list (10 most intense, 2θ = 10–90°, by angle)
23.2°, rel. 9; 26.1°, rel. 15; 29.4°, rel. 100; 40.3°, rel. 37; 43.9°, rel. 35; 53.8°, rel. 19; 61.1°, rel. 11; 66.6°, rel. 14; 71.8°, rel. 16; 78.3°, rel. 11

---

Structure and theoretical XRD peak list of Er2Tm3Se8 (the PBE geometry in Alexandria; copper Kα).
Lines closer than 0.1° are merged.

Crystal structure
```
data_Er2Tm3Se8
_symmetry_space_group_name_H-M 'P 1'
_symmetry_Int_Tables_number 1
_cell_length_a 8.1499
_cell_length_b 8.1499
_cell_length_c 6.9039
_cell_angle_alpha 106.73
_cell_angle_beta 106.73
_cell_angle_gamma 59.55
loop_
_symmetry_equiv_pos_as_xyz
'x,y,z'
loop_
_atom_site_label
_atom_site_type_symbol
_atom_site_fract_x
_atom_site_fract_y
_atom_site_fract_z
Er1 Er 0.2428 0.2428 0.1636
Er2 Er 0.7572 0.7572 0.8364
Tm1 Tm 0.2392 0.7608 0.5000
Tm2 Tm 0.5000 0.5000 0.0000
Tm3 Tm 0.7608 0.2392 0.5000
Se1 Se 0.1191 0.1191 0.4075
Se2 Se 0.1372 0.6172 0.0866
Se3 Se 0.3819 0.3819 0.5779
Se4 Se 0.3828 0.8628 0.9134
Se5 Se 0.6172 0.1372 0.0866
Se6 Se 0.6181 0.6181 0.4221
Se7 Se 0.8628 0.3828 0.9134
Se8 Se 0.8809 0.8809 0.5925
```

Peak list (10 most intense, 2θ = 10–90°, by angle)
20.3°, rel. 61; 22.9°, rel. 42; 25.7°, rel. 33; 27.0°, rel. 55; 27.4°, rel. 26; 34.0°, rel. 100; 34.4°, rel. 50; 40.8°, rel. 96; 44.8°, rel. 35; 45.3°, rel. 67

---

Structure and theoretical XRD peak list of Er3Tm2Se6 (the PBE geometry in Alexandria; copper Kα).
Lines closer than 0.1° are merged.

Crystal structure
```
data_Er3Tm2Se6
_symmetry_space_group_name_H-M 'P 1'
_symmetry_Int_Tables_number 1
_cell_length_a 6.9384
_cell_length_b 6.9384
_cell_length_c 6.9363
_cell_angle_alpha 99.65
_cell_angle_beta 99.65
_cell_angle_gamma 119.76
loop_
_symmetry_equiv_pos_as_xyz
'x,y,z'
loop_
_atom_site_label
_atom_site_type_symbol
_atom_site_fract_x
_atom_site_fract_y
_atom_site_fract_z
Er1 Er 0.0000 0.0000 0.0000
Er2 Er 0.3345 0.6655 0.0000
Er3 Er 0.6655 0.3345 0.0000
Tm1 Tm 0.1650 0.8350 0.5000
Tm2 Tm 0.8350 0.1650 0.5000
Se1 Se 0.0893 0.4184 0.2544
Se2 Se 0.2537 0.2537 0.7427
Se3 Se 0.4184 0.0893 0.2544
Se4 Se 0.5816 0.9107 0.7456
Se5 Se 0.7463 0.7463 0.2573
Se6 Se 0.9107 0.5816 0.7456
```

Peak list (10 most intense, 2θ = 10–90°, by angle)
27.3°, rel. 10; 31.6°, rel. 100; 45.2°, rel. 37; 45.3°, rel. 37; 56.3°, rel. 19; 66.0°, rel. 8; 74.9°, rel. 11; 75.0°, rel. 11; 83.6°, rel. 8; 83.7°, rel. 10

---

Structure and theoretical XRD peak list of Er4Tm2Se9 (the PBE geometry in Alexandria; copper Kα).
Lines closer than 0.1° are merged.

Crystal structure
```
data_Er4Tm2Se9
_symmetry_space_group_name_H-M 'P 1'
_symmetry_Int_Tables_number 1
_cell_length_a 7.1198
_cell_length_b 7.1218
_cell_length_c 19.3231
_cell_angle_alpha 89.99
_cell_angle_beta 89.97
_cell_angle_gamma 60.02
loop_
_symmetry_equiv_pos_as_xyz
'x,y,z'
loop_
_atom_site_label
_atom_site_type_symbol
_atom_site_fract_x
_atom_site_fract_y
_atom_site_fract_z
Er1 Er 0.1658 0.1668 0.1804
Er2 Er 0.1661 0.1668 0.9861
Er3 Er 0.1670 0.1665 0.4858
Er4 Er 0.1677 0.1664 0.6806
Er5 Er 0.8323 0.8336 0.3194
Er6 Er 0.8330 0.8335 0.5142
Er7 Er 0.8339 0.8332 0.0139
Er8 Er 0.8342 0.8332 0.8196
Tm1 Tm 0.4990 0.5013 0.1533
Tm2 Tm 0.4997 0.4990 0.3470
Tm3 Tm 0.5003 0.5010 0.6530
Tm4 Tm 0.5010 0.4987 0.8467
Se1 Se 0.1401 0.5278 0.4166
Se2 Se 0.1423 0.8312 0.9165
Se3 Se 0.1678 0.4733 0.0835
Se4 Se 0.1683 0.8595 0.5833
Se5 Se 0.1944 0.8059 0.2503
Se6 Se 0.1950 0.5003 0.7499
Se7 Se 0.4723 0.1697 0.5832
Se8 Se 0.4727 0.8592 0.0832
Se9 Se 0.4990 0.1948 0.2499
Se10 Se 0.5010 0.8052 0.7501
Se11 Se 0.5273 0.1408 0.9168
Se12 Se 0.5277 0.8303 0.4168
Se13 Se 0.8050 0.4997 0.2501
Se14 Se 0.8056 0.1941 0.7497
Se15 Se 0.8317 0.1405 0.4167
Se16 Se 0.8322 0.5267 0.9165
Se17 Se 0.8577 0.1688 0.0835
Se18 Se 0.8599 0.4722 0.5834
```

Peak list (10 most intense, 2θ = 10–90°, by angle)
17.1°, rel. 42; 23.4°, rel. 55; 25.0°, rel. 41; 28.6°, rel. 52; 34.5°, rel. 34; 37.7°, rel. 100; 43.1°, rel. 31; 44.0°, rel. 60; 59.3°, rel. 26; 76.8°, rel. 22

---

Structure and theoretical XRD peak list of ErTm2Se (the PBE geometry in Alexandria; copper Kα).
Lines closer than 0.1° are merged.

Crystal structure
```
data_ErTm2Se
_symmetry_space_group_name_H-M 'P 1'
_symmetry_Int_Tables_number 1
_cell_length_a 6.4409
_cell_length_b 6.4381
_cell_length_c 11.0483
_cell_angle_alpha 90.00
_cell_angle_beta 90.00
_cell_angle_gamma 90.00
loop_
_symmetry_equiv_pos_as_xyz
'x,y,z'
loop_
_atom_site_label
_atom_site_type_symbol
_atom_site_fract_x
_atom_site_fract_y
_atom_site_fract_z
Er1 Er 0.0347 0.2500 0.2500
Er2 Er 0.4653 0.7500 0.2500
Er3 Er 0.5347 0.2500 0.7500
Er4 Er 0.9653 0.7500 0.7500
Tm1 Tm 0.0807 0.2104 0.5815
Tm2 Tm 0.0807 0.2896 0.9185
Tm3 Tm 0.4193 0.7104 0.9185
Tm4 Tm 0.4193 0.7896 0.5815
Tm5 Tm 0.5807 0.2104 0.4185
Tm6 Tm 0.5807 0.2896 0.0815
Tm7 Tm 0.9193 0.7104 0.0815
Tm8 Tm 0.9193 0.7896 0.4185
Se1 Se 0.2500 0.0000 0.0857
Se2 Se 0.2500 0.5000 0.4143
Se3 Se 0.7500 0.0000 0.9143
Se4 Se 0.7500 0.5000 0.5857
```

Peak list (10 most intense, 2θ = 10–90°, by angle)
27.7°, rel. 35; 31.1°, rel. 31; 31.2°, rel. 100; 32.1°, rel. 11; 39.6°, rel. 20; 39.7°, rel. 18; 49.1°, rel. 19; 49.5°, rel. 12; 51.3°, rel. 21; 59.6°, rel. 10